The following is a simulated X-ray powder pattern of AlAg4. It was derived from the GGA-PBE geometry in the Materials Project, using λ = 1.5418 Å (Cu Kα).
Kinematic intensities with the Lorentz-polarization factor, no thermal factor.

Crystal structure
```
5
Lattice="1.4729 0.8504 11.6821 -1.4729 0.8504 11.6821 0.0000 -1.7008 11.6821" Properties=species:S:1:pos:R:3 pbc="T T T"
Al 0.0000 0.0000 0.0000
Ag 0.0000 0.0000 7.0510
Ag 0.0000 0.0000 13.8908
Ag 0.0000 0.0000 21.1555
Ag 0.0000 0.0000 27.9953
```

Largest 10 diffraction maxima, in order of rising 2θ, 15° ≤ 2θ ≤ 90°:
d/Å	2theta	I_rel
5.841	15.2	7.5
2.397	37.5	100.0
2.336	38.5	29.2
2.063	43.9	61.8
1.473	63.1	20.4
1.444	64.5	17.0
1.255	75.8	11.7
1.246	76.4	21.6
1.229	77.7	9.3
1.199	80.1	9.9


The following is a simulated X-ray powder pattern of MnFeTe. It was derived from the GGA-PBE geometry in the Materials Project, using λ = 1.5418 Å (Cu Kα).
Kinematic intensities with the Lorentz-polarization factor, no thermal factor.

Crystal structure
```
3
Lattice="0.0000 2.9232 2.9232 2.9232 0.0000 2.9232 2.9232 2.9232 0.0000" Properties=species:S:1:pos:R:3 pbc="T T T"
Mn 0.0000 0.0000 0.0000
Fe 1.4616 1.4616 1.4616
Te 2.9232 2.9232 2.9232
```

Largest 10 diffraction maxima, in order of rising 2θ, 15° ≤ 2θ ≤ 90°:
d/Å	2theta	I_rel
3.375	26.4	37.7
2.923	30.6	35.0
2.067	43.8	100.0
1.763	51.9	17.5
1.688	54.4	9.1
1.462	63.7	15.5
1.341	70.2	7.0
1.307	72.3	11.5
1.193	80.5	30.8
1.125	86.5	5.5


The following is a simulated X-ray powder pattern of Cu3P4S3I3. It was derived from the GGA-PBE geometry in the Materials Project, using λ = 1.5418 Å (Cu Kα).
Kinematic intensities with the Lorentz-polarization factor, no thermal factor.

Crystal structure
```
52
Lattice="19.4718 0.0000 0.0000 0.0000 10.1378 0.0000 0.0000 0.0000 7.1403" Properties=species:S:1:pos:R:3 pbc="T T T"
Cu 2.5609 2.5345 0.2775
Cu 3.5597 0.1743 3.8731
Cu 3.5597 4.8946 3.8731
Cu 6.1762 5.2432 0.3030
Cu 6.1762 9.9635 0.3030
Cu 7.1750 7.6034 3.8477
Cu 12.2967 2.5345 3.2926
Cu 13.2955 0.1743 6.8373
Cu 13.2955 4.8946 6.8373
Cu 15.9121 5.2432 3.2672
Cu 15.9121 9.9635 3.2672
Cu 16.9109 7.6034 6.8628
P 0.4346 2.5345 0.9008
P 2.2090 6.4569 4.7243
P 2.2090 8.7499 4.7243
P 2.8327 7.6034 6.5682
P 6.9032 2.5345 2.9981
P 7.5269 1.3879 1.1541
P 7.5269 3.6810 1.1541
P 9.3013 7.6034 4.4710
P 10.1704 2.5345 2.6693
P 11.9448 6.4569 5.9862
P 11.9448 8.7499 5.9862
P 12.5686 7.6034 4.1422
P 16.6390 2.5345 0.5721
P 17.2628 1.3879 2.4160
P 17.2628 3.6810 2.4160
P 19.0372 7.6034 6.2395
S 0.1911 5.9731 5.0412
S 0.1911 9.2337 5.0412
S 1.0830 7.6034 0.5822
S 8.6529 2.5345 4.1523
S 9.5448 0.9042 1.4710
S 9.5448 4.1647 1.4710
S 9.9270 5.9731 5.6693
S 9.9270 9.2337 5.6693
S 10.8189 7.6034 2.9880
S 18.3888 2.5345 6.5581
S 19.2807 0.9042 2.0991
S 19.2807 4.1647 2.0991
I 2.7543 2.5345 4.7993
I 3.7563 0.3840 1.2577
I 3.7563 4.6849 1.2577
I 5.9796 5.4529 4.8278
I 5.9796 9.7538 4.8278
I 6.9815 7.6034 1.2292
I 12.4902 2.5345 5.9111
I 13.4922 0.3840 2.3125
I 13.4922 4.6849 2.3125
I 15.7154 5.4529 5.8826
I 15.7154 9.7538 5.8826
I 16.7174 7.6034 2.3410
```

Largest 10 diffraction maxima, in order of rising 2θ, 15° ≤ 2θ ≤ 90°:
d/Å	2theta	I_rel
4.496	19.7	55.1
3.805	23.4	46.8
3.511	25.4	100.0
3.245	27.5	32.6
3.151	28.3	43.7
3.054	29.2	30.7
2.954	30.3	29.0
2.194	41.1	37.3
2.045	44.3	49.0
1.739	52.6	23.1


The following is a simulated X-ray powder pattern of ScAgSn. It was derived from the GGA-PBE geometry in the Materials Project, using λ = 1.5418 Å (Cu Kα).
Kinematic intensities with the Lorentz-polarization factor, no thermal factor.

Crystal structure
```
18
Lattice="-4.3941 6.2118 3.5944 4.3941 -6.2118 3.5944 4.3941 6.2118 -3.5944" Properties=species:S:1:pos:R:3 pbc="T T T"
Sc 2.1970 0.0185 0.0000
Sc 2.1970 -2.5955 4.6460
Sc 2.1970 3.3607 1.2190
Sc 2.1970 8.8073 1.0515
Sc 2.1970 2.8511 4.8134
Sc 2.1970 6.1933 3.5944
Ag 4.5971 4.7039 -1.3391
Ag 4.1910 -1.5079 2.2553
Ag -0.2031 1.5079 2.2553
Ag 4.5971 1.5079 2.2553
Ag 0.0000 6.2118 1.3028
Ag 0.0000 0.0000 4.8972
Sn 4.4215 2.0743 -0.4504
Sn 4.3667 -4.1375 3.1440
Sn 2.1970 5.9403 -0.4572
Sn 2.1970 0.2715 3.1372
Sn -0.0274 4.1375 3.1440
Sn 4.4215 4.1375 3.1440
```

Largest 10 diffraction maxima, in order of rising 2θ, 15° ≤ 2θ ≤ 90°:
d/Å	2theta	I_rel
4.394	20.2	32.3
3.590	24.8	46.5
2.780	32.2	51.8
2.538	35.4	99.5
2.350	38.3	42.3
2.197	41.1	34.2
2.073	43.7	100.0
1.874	48.6	22.4
1.605	57.4	23.0
1.356	69.3	21.1


The following is a simulated X-ray powder pattern of NdAsO4. It was derived from the GGA-PBE geometry in the Materials Project, using λ = 1.5418 Å (Cu Kα).
Kinematic intensities with the Lorentz-polarization factor, no thermal factor.

Crystal structure
```
12
Lattice="-3.6803 3.6803 3.2668 3.6803 -3.6803 3.2668 3.6803 3.6803 -3.2668" Properties=species:S:1:pos:R:3 pbc="T T T"
Nd 3.6803 1.8402 0.8167
Nd 0.0000 1.8402 2.4501
As 3.6803 -1.8402 2.4501
As 0.0000 5.5205 0.8167
O 3.6803 -0.5240 1.3437
O 3.6803 3.1564 -1.3437
O 1.3162 1.8402 0.2898
O 2.3641 -1.8402 3.5566
O 1.3162 5.5205 -0.2898
O 2.3641 1.8402 2.9771
O 0.0000 0.5240 4.6105
O 0.0000 4.2043 1.9232
```

Largest 10 diffraction maxima, in order of rising 2θ, 15° ≤ 2θ ≤ 90°:
d/Å	2theta	I_rel
4.886	18.2	12.2
3.680	24.2	100.0
2.767	32.4	72.6
2.602	34.5	23.3
1.896	48.0	59.9
1.840	49.5	15.4
1.646	55.9	14.1
1.532	60.4	17.5
1.493	62.2	12.2
1.320	71.4	14.5